# BaVCdF7
Theoretical powder diffraction line list, Cu Kα X-rays. Input: a crystal structure in the Materials Project, relaxed with PBE+U.

Crystal structure
```
BaVCdF7
1.0
7.080 -2.764 0.000
7.080 2.764 0.000
-0.494 0.000 15.370
Ba V Cd F
4 4 4 28
direct
0.148 0.231 0.124
0.231 0.148 0.624
0.769 0.852 0.376
0.852 0.769 0.876
0.115 0.129 0.875
0.129 0.115 0.375
0.871 0.885 0.625
0.885 0.871 0.125
0.455 0.545 0.250
0.500 0.500 0.000
0.500 0.500 0.500
0.545 0.455 0.750
0.046 0.622 0.223
0.076 0.753 0.517
0.103 0.883 0.343
0.117 0.897 0.157
0.154 0.601 0.702
0.164 0.565 0.048
0.186 0.317 0.409
0.247 0.924 0.983
0.317 0.186 0.909
0.342 0.534 0.871
0.378 0.954 0.277
0.399 0.846 0.798
0.435 0.836 0.452
0.466 0.658 0.629
0.534 0.342 0.371
0.565 0.164 0.548
0.601 0.154 0.202
0.622 0.046 0.723
0.658 0.466 0.129
0.683 0.814 0.091
0.753 0.076 0.017
0.814 0.683 0.591
0.836 0.435 0.952
0.846 0.399 0.298
0.883 0.103 0.843
0.897 0.117 0.657
0.924 0.247 0.483
0.954 0.378 0.777
```

The 6 most intense peaks (2θ = 10–90°), by angle:
24.81°, I 100; 26.03°, I 27; 26.75°, I 24; 28.83°, I 41; 29.16°, I 32; 32.40°, I 22